Entry 1:
This entry pairs a crystal structure of SbPdPt4 with its calculated powder X-ray diffraction pattern. Radiation: a wavelength of 1.5418 Å. Structure: a PBE-relaxed structure.
Neutral-atom scattering factors, no anomalous dispersion.

Most intense lines, 10 to 80 degrees two-theta, low angle first:
h k l, d (Å), Position (°2θ), I_rel
1 1 -2, 2.368, 37.99, 100
0 2 2, 2.333, 38.59, 96
1 -2 1, 2.323, 38.76, 97
2 1 1, 2.317, 38.87, 96
1 0 3, 2.071, 43.71, 68
1 3 0, 2.004, 45.26, 65
-2 1 1, 1.995, 45.47, 60
0 3 -3, 1.450, 64.22, 42
2 3 3, 1.430, 65.22, 21
3 4 1, 1.209, 79.27, 23

Cell and atoms:
```
data_SbPdPt4
_cell_length_a 4.8929
_cell_length_b 6.3168
_cell_length_c 6.5642
_cell_angle_alpha 85.01
_cell_angle_beta 82.31
_cell_angle_gamma 82.22
_space_group_name_H-M_alt 'P -1'
_space_group_IT_number 2
_space_group_name_Hall '-P 1'
loop_
_atom_site_label
_atom_site_type_symbol
_atom_site_fract_x
_atom_site_fract_y
_atom_site_fract_z
Sb1 Sb 0.1460 0.4532 0.2658
Pd1 Pd 0.3740 0.0385 0.2139
Pt1 Pt 0.1236 0.1271 0.6238
Pt2 Pt 0.1294 0.8009 0.9578
Pt3 Pt 0.3657 0.7093 0.5451
Pt4 Pt 0.3709 0.3725 0.8686
```

***

Entry 2:
This entry pairs a crystal structure of Sc2Pd6Pt with its calculated powder X-ray diffraction pattern. Radiation: a wavelength of 1.5418 Å. Structure: a PBE-relaxed structure.
Neutral-atom scattering factors, no anomalous dispersion.

Most intense lines, 10 to 80 degrees two-theta, low angle first:
h k l, d (Å), Position (°2θ), I_rel
1 1 1, 3.663, 24.30, 8
1 3 3, 2.319, 38.83, 100
0 0 6, 2.051, 44.16, 17
2 0 0, 2.031, 44.61, 17
0 6 0, 1.948, 46.62, 15
2 0 6, 1.443, 64.58, 11
0 6 6, 1.412, 66.16, 10
2 6 0, 1.406, 66.50, 10
1 3 9, 1.230, 77.66, 12
3 3 3, 1.221, 78.30, 12

Cell and atoms:
```
data_Sc2Pd6Pt
_cell_length_a 4.0625
_cell_length_b 11.6893
_cell_length_c 12.3044
_cell_angle_alpha 90.00
_cell_angle_beta 90.00
_cell_angle_gamma 90.00
_space_group_name_H-M_alt 'F m m m'
_space_group_IT_number 69
_space_group_name_Hall '-F 2 2'
loop_
_atom_site_label
_atom_site_type_symbol
_atom_site_fract_x
_atom_site_fract_y
_atom_site_fract_z
Sc1 Sc 0.0000 0.0000 0.1497
Pd1 Pd 0.0000 0.1626 0.3298
Pd2 Pd 0.0000 0.1706 0.0000
Pt1 Pt 0.0000 0.0000 0.5000
```

***

Entry 3:
This entry pairs a crystal structure of ScPd8Pt2 with its calculated powder X-ray diffraction pattern. Radiation: a wavelength of 1.5418 Å. Structure: a PBE-relaxed structure.
Neutral-atom scattering factors, no anomalous dispersion.

Most intense lines, 10 to 80 degrees two-theta, low angle first:
h k l, d (Å), Position (°2θ), I_rel
0 0 1, 4.013, 22.15, 30
2 2 0, 2.704, 33.12, 30
2 0 -2, 2.449, 36.69, 68
3 1 -1, 2.404, 37.41, 79
1 1 -2, 2.317, 38.88, 28
2 2 -2, 2.278, 39.56, 44
1 3 1, 2.255, 39.99, 60
1 5 -1, 2.207, 40.89, 100
2 4 0, 2.155, 41.92, 47
3 3 -2, 1.934, 46.99, 23

Cell and atoms:
```
data_ScPd8Pt2
_cell_length_a 7.3879
_cell_length_b 12.3583
_cell_length_c 4.9289
_cell_angle_alpha 90.00
_cell_angle_beta 125.49
_cell_angle_gamma 90.00
_space_group_name_H-M_alt 'C 1 2/m 1'
_space_group_IT_number 12
_space_group_name_Hall '-C 2y'
loop_
_atom_site_label
_atom_site_type_symbol
_atom_site_fract_x
_atom_site_fract_y
_atom_site_fract_z
Sc1 Sc 0.0000 0.0000 0.0000
Pd1 Pd 0.0000 0.2147 0.0000
Pd2 Pd 0.0924 0.5000 0.8185
Pd3 Pd 0.2108 0.1140 0.6217
Pt1 Pt 0.0000 0.3081 0.5000
```

***

Entry 4:
This entry pairs a crystal structure of ScPd5Pt6 with its calculated powder X-ray diffraction pattern. Radiation: a wavelength of 1.5418 Å. Structure: a PBE-relaxed structure.
Neutral-atom scattering factors, no anomalous dispersion.

Most intense lines, 10 to 80 degrees two-theta, low angle first:
h k l, d (Å), Position (°2θ), I_rel
0 2 0, 4.018, 22.12, 11
1 0 3, 2.796, 32.01, 9
1 2 3, 2.295, 39.26, 100
0 4 0, 2.009, 45.13, 17
2 0 0, 1.977, 45.91, 32
0 2 6, 1.774, 51.52, 5
1 4 3, 1.631, 56.40, 4
2 4 0, 1.409, 66.34, 21
2 0 6, 1.398, 66.94, 10
1 6 3, 1.208, 79.32, 13

Cell and atoms:
```
data_ScPd5Pt6
_cell_length_a 3.9521
_cell_length_b 8.0358
_cell_length_c 11.8657
_cell_angle_alpha 90.00
_cell_angle_beta 90.00
_cell_angle_gamma 90.00
_space_group_name_H-M_alt 'I m m m'
_space_group_IT_number 71
_space_group_name_Hall '-I 2 2'
loop_
_atom_site_label
_atom_site_type_symbol
_atom_site_fract_x
_atom_site_fract_y
_atom_site_fract_z
Sc1 Sc 0.0000 0.0000 0.0000
Pd1 Pd 0.0000 0.0000 0.3344
Pd2 Pd 0.0000 0.5000 0.0000
Pd3 Pd 0.0000 0.5000 0.3352
Pt1 Pt 0.0000 0.2495 0.1666
Pt2 Pt 0.0000 0.2511 0.5000
```

***

Please write out number 3 again, unchanged.
This entry pairs a crystal structure of ScPd8Pt2 with its calculated powder X-ray diffraction pattern. Radiation: a wavelength of 1.5418 Å. Structure: a PBE-relaxed structure.
Neutral-atom scattering factors, no anomalous dispersion.

Most intense lines, 10 to 80 degrees two-theta, low angle first:
h k l, d (Å), Position (°2θ), I_rel
0 0 1, 4.013, 22.15, 30
2 2 0, 2.704, 33.12, 30
2 0 -2, 2.449, 36.69, 68
3 1 -1, 2.404, 37.41, 79
1 1 -2, 2.317, 38.88, 28
2 2 -2, 2.278, 39.56, 44
1 3 1, 2.255, 39.99, 60
1 5 -1, 2.207, 40.89, 100
2 4 0, 2.155, 41.92, 47
3 3 -2, 1.934, 46.99, 23

Cell and atoms:
```
data_ScPd8Pt2
_cell_length_a 7.3879
_cell_length_b 12.3583
_cell_length_c 4.9289
_cell_angle_alpha 90.00
_cell_angle_beta 125.49
_cell_angle_gamma 90.00
_space_group_name_H-M_alt 'C 1 2/m 1'
_space_group_IT_number 12
_space_group_name_Hall '-C 2y'
loop_
_atom_site_label
_atom_site_type_symbol
_atom_site_fract_x
_atom_site_fract_y
_atom_site_fract_z
Sc1 Sc 0.0000 0.0000 0.0000
Pd1 Pd 0.0000 0.2147 0.0000
Pd2 Pd 0.0924 0.5000 0.8185
Pd3 Pd 0.2108 0.1140 0.6217
Pt1 Pt 0.0000 0.3081 0.5000
```

***

Q: Number 4 is which compound?
A: ScPd5Pt6